# PuGaCo4H6
Computed powder diffraction line list, Cu Kα X-rays. Input: DFT lattice parameters and positions (PBE).

Peak list (10 most intense, 2θ from 10° to 90°, by angle)
| index | two_theta | d (Å) | I_rel |
| --- | --- | --- | --- |
| 1 0 0 | 24.36 | 3.653 | 29 |
| 1 0 1 | 27.86 | 3.202 | 58 |
| 1 0 2 | 36.53 | 2.460 | 100 |
| 0 0 3 | 40.68 | 2.218 | 12 |
| 1 1 0 | 42.88 | 2.109 | 64 |
| 2 0 1 | 51.91 | 1.762 | 11 |
| 2 0 2 | 57.56 | 1.601 | 26 |
| 1 1 3 | 60.58 | 1.528 | 23 |
| 1 0 4 | 61.23 | 1.514 | 16 |
| 2 1 2 | 74.38 | 1.275 | 25 |

Atomic structure:
Unit cell a=4.2186 b=4.2186 c=6.6534 alpha=90.00 beta=90.00 gamma=120.00
Space group P6/mmm (No. 191)
One atom of each set of equivalent atoms:
Pu (0.0000, 0.0000, 0.0000) (multiplicity 1)
Ga (0.0000, 0.0000, 0.5000) (multiplicity 1)
Co (0.3333, 0.6667, 0.3182) (multiplicity 4)
H (0.0000, 0.5000, 0.1526) (multiplicity 6)